(1)
For NaAc2OsO6, a DFT-relaxed cell (PBE, Alexandria) gives the calculated powder XRD pattern in this record (Cu Kα (λ = 1.5418 Å)).
Neutral-atom scattering factors, no anomalous dispersion.

Crystal structure
```
data_NaAc2OsO6
_chemical_formula_sum 'Na2 Ac4 Os2 O12'
_cell_length_a 5.788
_cell_length_b 6.094
_cell_length_c 10.057
_cell_angle_alpha 90.00
_cell_angle_beta 124.83
_cell_angle_gamma 90.00
_space_group_name_H-M_alt 'P 1 21/c 1'
_space_group_IT_number 14
loop_
_space_group_symop_operation_xyz
'x,y,z'
'-x,-y,-z'
'-x,y+1/2,-z+1/2'
'x,-y+1/2,z+1/2'
loop_
_atom_site_label
_atom_site_fract_x
_atom_site_fract_y
_atom_site_fract_z
Na1 0.000 0.000 0.000
Ac1 0.235 0.061 0.748
Os1 0.500 0.000 0.500
O1 0.173 0.179 0.455
O2 0.271 0.725 0.445
O3 0.365 0.036 0.269
```

Most intense lines, 5 to 70 degrees two-theta, sorted by position:
two_theta  d (Å)  I (rel.)
18.09  4.903  33
23.78  3.741  28
29.31  3.047  41
30.31  2.948  100
30.43  2.937  100
30.90  2.894  51
43.11  2.098  37
48.78  1.867  29
54.50  1.684  34
54.75  1.677  34

(2)
For NaAc2PO5, a DFT-relaxed cell (PBE, Alexandria) gives the calculated powder XRD pattern in this record (Cu Kα (λ = 1.5418 Å)).
Neutral-atom scattering factors, no anomalous dispersion.

Crystal structure
```
data_NaAc2PO5
_chemical_formula_sum 'Na2 Ac4 P2 O10'
_cell_length_a 7.286
_cell_length_b 7.286
_cell_length_c 5.452
_cell_angle_alpha 90.00
_cell_angle_beta 90.00
_cell_angle_gamma 90.00
_space_group_name_H-M_alt 'P 4/m b m'
_space_group_IT_number 127
_space_group_name_Hall '-P 4 2ab'
loop_
_atom_site_label
_atom_site_fract_x
_atom_site_fract_y
_atom_site_fract_z
Na1 0.000 0.000 0.000
Ac1 0.184 0.316 0.500
P1 0.000 0.500 0.000
O1 0.000 0.000 0.500
O2 0.120 0.620 0.230
```

Most intense lines, 5 to 70 degrees two-theta, sorted by position:
two_theta  d (Å)  I (rel.)
16.26  5.452  100
24.43  3.643  24
27.37  3.259  48
29.49  3.029  73
32.00  2.797  97
32.85  2.726  24
43.27  2.091  53
51.73  1.767  23
54.59  1.681  39
62.65  1.483  25

(3)
For NaAcPaO4, a DFT-relaxed cell (PBE, Alexandria) gives the calculated powder XRD pattern in this record (Cu Kα (λ = 1.5418 Å)).
Neutral-atom scattering factors, no anomalous dispersion.

Crystal structure
```
data_NaAcPaO4
_chemical_formula_sum 'Na4 Ac4 Pa4 O16'
_cell_length_a 7.145
_cell_length_b 7.755
_cell_length_c 10.566
_cell_angle_alpha 90.00
_cell_angle_beta 90.00
_cell_angle_gamma 90.00
_space_group_name_H-M_alt 'I m m a'
_space_group_IT_number 74
_space_group_name_Hall '-I 2b 2'
loop_
_atom_site_label
_atom_site_fract_x
_atom_site_fract_y
_atom_site_fract_z
Na1 0.000 0.250 0.094
Ac1 0.000 0.000 0.500
Pa1 0.250 0.250 0.750
O1 0.000 0.069 0.737
O2 0.227 0.250 0.541
```

Most intense lines, 5 to 70 degrees two-theta, sorted by position:
two_theta  d (Å)  I (rel.)
14.17  6.252  100
14.97  5.919  68
27.50  3.243  43
27.82  3.207  21
28.56  3.126  51
28.78  3.102  37
30.20  2.959  46
33.94  2.642  26
34.13  2.627  50
48.89  1.863  40